[1]
Theoretical powder diffractogram
Compound: SmAgSb3
Radiation: CuKα
Structure: a crystal structure in Alexandria, relaxed with GGA-PBE
Neutral-atom scattering factors, no anomalous dispersion.

The 12 most intense peaks (10 to 90 degrees two-theta), by angle:
- (0 0 2), 28.4 deg, 3.147 Å, rel. 33
- (2 0 2), 31.4 deg, 2.846 Å, rel. 49
- (2 2 0), 31.7 deg, 2.825 Å, rel. 100
- (5 0 0), 33.3 deg, 2.694 Å, rel. 53
- (4 1 1), 33.5 deg, 2.679 Å, rel. 32
- (2 1 2), 34.7 deg, 2.588 Å, rel. 39
- (3 0 2), 34.9 deg, 2.573 Å, rel. 65
- (3 2 0), 35.1 deg, 2.558 Å, rel. 49
- (3 1 2), 37.8 deg, 2.378 Å, rel. 30
- (0 2 2), 40.8 deg, 2.210 Å, rel. 51
- (5 2 2), 53.6 deg, 1.709 Å, rel. 32
- (2 2 4), 68.4 deg, 1.372 Å, rel. 22

Atomic structure:
Cell: 13.470 6.224 6.280 Å, 90.00 90.00 90.00°
Space group Pbcm (No. 57)
Asymmetric unit:
Sm 0.182 0.000 0.250 (multiplicity 4)
Ag 0.383 0.250 0.000 (multiplicity 4)
Sb 0.002 0.250 0.000 (multiplicity 4)
Sb 0.246 0.511 0.250 (multiplicity 4)
Sb 0.425 0.695 0.750 (multiplicity 4)


[2]
Theoretical powder diffractogram
Compound: Sm4Ag5Sb7
Radiation: CuKα
Structure: a crystal structure in Alexandria, relaxed with GGA-PBE
Neutral-atom scattering factors, no anomalous dispersion.

The 12 most intense peaks (10 to 90 degrees two-theta), by angle:
- (1 1 4), 26.5 deg, 3.363 Å, rel. 12
- (1 1 6), 32.5 deg, 2.752 Å, rel. 6
- (0 0 8), 33.5 deg, 2.676 Å, rel. 16
- (2 0 4), 33.8 deg, 2.655 Å, rel. 100
- (1 1 8), 39.6 deg, 2.275 Å, rel. 8
- (2 2 0), 41.8 deg, 2.162 Å, rel. 33
- (1 1 10), 47.4 deg, 1.918 Å, rel. 7
- (2 2 8), 54.6 deg, 1.682 Å, rel. 15
- (2 0 12), 60.0 deg, 1.541 Å, rel. 6
- (4 0 0), 60.6 deg, 1.529 Å, rel. 11
- (4 0 8), 71.0 deg, 1.327 Å, rel. 7
- (4 2 4), 71.2 deg, 1.325 Å, rel. 22

Atomic structure:
Cell: 6.115 6.115 21.408 Å, 90.00 90.00 90.00°
Space group I-42m (No. 121)
Asymmetric unit:
Sm 0.243 0.243 0.119 (multiplicity 8)
Ag 0.000 0.000 0.248 (multiplicity 4)
Ag 0.000 0.000 0.500 (multiplicity 2)
Ag 0.000 0.500 0.250 (multiplicity 4)
Sb 0.000 0.000 0.000 (multiplicity 2)
Sb 0.000 0.500 0.000 (multiplicity 4)
Sb 0.243 0.243 0.341 (multiplicity 8)


[3]
Theoretical powder diffractogram
Compound: Sm5Ag2Sb
Radiation: CuKα
Structure: a crystal structure in Alexandria, relaxed with GGA-PBE
Neutral-atom scattering factors, no anomalous dispersion.

The 12 most intense peaks (10 to 90 degrees two-theta), by angle:
- (2 2 0), 30.5 deg, 2.930 Å, rel. 10
- (1 1 4), 30.9 deg, 2.894 Å, rel. 15
- (2 1 3), 31.4 deg, 2.845 Å, rel. 100
- (3 1 0), 34.2 deg, 2.621 Å, rel. 58
- (2 0 4), 34.6 deg, 2.595 Å, rel. 20
- (0 0 6), 40.7 deg, 2.219 Å, rel. 9
- (4 1 3), 49.8 deg, 1.831 Å, rel. 10
- (3 1 6), 54.2 deg, 1.693 Å, rel. 15
- (3 3 4), 54.5 deg, 1.685 Å, rel. 11
- (4 4 0), 63.5 deg, 1.466 Å, rel. 11
- (5 2 3), 64.0 deg, 1.454 Å, rel. 18
- (6 0 0), 67.8 deg, 1.381 Å, rel. 9

Atomic structure:
Cell: 8.287 8.287 13.316 Å, 90.00 90.00 90.00°
Space group I4/mcm (No. 140)
Asymmetric unit:
Sm 0.000 0.000 0.000 (multiplicity 4)
Sm 0.155 0.345 0.148 (multiplicity 16)
Ag 0.133 0.367 0.500 (multiplicity 8)
Sb 0.000 0.000 0.250 (multiplicity 4)


[4]
Theoretical powder diffractogram
Compound: Ag14SnSb
Radiation: CuKα
Structure: a crystal structure in Alexandria, relaxed with GGA-PBE
Neutral-atom scattering factors, no anomalous dispersion.

The 12 most intense peaks (10 to 90 degrees two-theta), by angle:
- (1 2 2), 35.2 deg, 2.548 Å, rel. 45
- (1 0 4), 36.5 deg, 2.463 Å, rel. 22
- (4 0 0), 37.4 deg, 2.406 Å, rel. 47
- (2 2 2), 38.9 deg, 2.317 Å, rel. 100
- (2 0 4), 40.0 deg, 2.252 Å, rel. 38
- (3 2 2), 44.4 deg, 2.040 Å, rel. 21
- (3 0 4), 45.5 deg, 1.995 Å, rel. 11
- (0 2 6), 62.4 deg, 1.489 Å, rel. 19
- (6 2 2), 68.4 deg, 1.371 Å, rel. 17
- (4 4 0), 72.7 deg, 1.300 Å, rel. 12
- (2 4 4), 74.5 deg, 1.274 Å, rel. 11
- (4 2 6), 75.0 deg, 1.266 Å, rel. 22

Atomic structure:
Cell: 9.625 6.182 10.192 Å, 90.00 90.00 90.00°
Space group Amm2 (No. 38)
Asymmetric unit:
Ag 0.000 0.000 0.000 (multiplicity 2)
Ag 0.000 0.000 0.500 (multiplicity 2)
Ag 0.000 0.250 0.249 (multiplicity 4)
Ag 0.242 0.249 0.425 (multiplicity 8)
Ag 0.245 0.000 0.672 (multiplicity 4)
Ag 0.246 0.000 0.173 (multiplicity 4)
Ag 0.500 0.249 0.591 (multiplicity 4)
Sn 0.500 0.000 0.341 (multiplicity 2)
Sb 0.500 0.000 0.843 (multiplicity 2)


[5]
Theoretical powder diffractogram
Compound: AgSn2Sb3
Radiation: CuKα
Structure: a crystal structure in Alexandria, relaxed with GGA-PBE
Neutral-atom scattering factors, no anomalous dispersion.

The 12 most intense peaks (10 to 90 degrees two-theta), by angle:
- (1 3 -1), 23.5 deg, 3.791 Å, rel. 76
- (0 0 2), 23.6 deg, 3.778 Å, rel. 76
- (0 6 0), 38.7 deg, 2.325 Å, rel. 21
- (1 3 -3), 38.9 deg, 2.316 Å, rel. 100
- (0 6 2), 45.8 deg, 1.980 Å, rel. 25
- (3 3 -3), 46.0 deg, 1.974 Å, rel. 48
- (2 6 2), 56.1 deg, 1.640 Å, rel. 13
- (1 3 -5), 61.7 deg, 1.504 Å, rel. 15
- (2 0 4), 61.8 deg, 1.501 Å, rel. 10
- (1 9 -3), 70.2 deg, 1.341 Å, rel. 14
- (2 0 -6), 70.4 deg, 1.337 Å, rel. 17
- (4 0 -6), 75.4 deg, 1.261 Å, rel. 11

Atomic structure:
Cell: 8.010 13.951 8.020 Å, 90.00 109.50 90.00°
Space group Cc (No. 9)
Asymmetric unit:
Ag 0.000 0.084 0.000 (multiplicity 4)
Sn 0.008 0.250 0.515 (multiplicity 4)
Sn 0.025 0.419 0.016 (multiplicity 4)
Sb 0.367 0.082 0.132 (multiplicity 4)
Sb 0.392 0.254 0.630 (multiplicity 4)
Sb 0.402 0.424 0.142 (multiplicity 4)


[6]
Theoretical powder diffractogram
Compound: SrAg6Sb2
Radiation: CuKα
Structure: a crystal structure in Alexandria, relaxed with GGA-PBE
Neutral-atom scattering factors, no anomalous dispersion.

The 12 most intense peaks (10 to 90 degrees two-theta), by angle:
- (1 0 2), 26.4 deg, 3.372 Å, rel. 13
- (1 1 1), 29.2 deg, 3.058 Å, rel. 13
- (1 1 2), 33.1 deg, 2.705 Å, rel. 86
- (1 1 3), 38.8 deg, 2.320 Å, rel. 100
- (2 0 0), 39.7 deg, 2.269 Å, rel. 72
- (2 1 3), 52.7 deg, 1.737 Å, rel. 13
- (0 0 6), 54.6 deg, 1.680 Å, rel. 12
- (2 2 0), 57.4 deg, 1.604 Å, rel. 23
- (3 1 2), 67.9 deg, 1.380 Å, rel. 17
- (2 0 6), 69.6 deg, 1.350 Å, rel. 22
- (3 1 3), 71.5 deg, 1.320 Å, rel. 31
- (2 2 6), 83.3 deg, 1.160 Å, rel. 14

Atomic structure:
Cell: 4.538 4.538 10.078 Å, 90.00 90.00 90.00°
Space group P4/mmm (No. 123)
Asymmetric unit:
Sr 0.000 0.000 0.000 (multiplicity 1)
Ag 0.000 0.000 0.500 (multiplicity 1)
Ag 0.000 0.500 0.321 (multiplicity 4)
Ag 0.500 0.500 0.500 (multiplicity 1)
Sb 0.500 0.500 0.154 (multiplicity 2)


[7]
Theoretical powder diffractogram
Compound: SrAgSb
Radiation: CuKα
Structure: a crystal structure in Alexandria, relaxed with GGA-PBE
Neutral-atom scattering factors, no anomalous dispersion.

The 12 most intense peaks (10 to 90 degrees two-theta), by angle:
- (0 0 1), 11.7 deg, 7.573 Å, rel. 32
- (1 1 0), 26.4 deg, 3.370 Å, rel. 11
- (1 1 1), 29.0 deg, 3.079 Å, rel. 34
- (1 0 2), 30.1 deg, 2.965 Å, rel. 12
- (1 1 2), 35.7 deg, 2.518 Å, rel. 100
- (2 0 0), 37.7 deg, 2.383 Å, rel. 48
- (2 0 1), 39.6 deg, 2.273 Å, rel. 7
- (2 0 3), 52.8 deg, 1.733 Å, rel. 8
- (2 2 0), 54.4 deg, 1.685 Å, rel. 16
- (2 0 4), 62.7 deg, 1.482 Å, rel. 10
- (3 1 1), 62.9 deg, 1.478 Å, rel. 7
- (3 1 2), 66.8 deg, 1.401 Å, rel. 32

Atomic structure:
Cell: 4.767 4.767 7.573 Å, 90.00 90.00 90.00°
Space group P4/nmm (No. 129, origin choice 2)
Asymmetric unit:
Sr 0.250 0.250 0.188 (multiplicity 2)
Ag 0.250 0.750 0.500 (multiplicity 2)
Sb 0.250 0.250 0.735 (multiplicity 2)